Starting from a structure optimized by DFT (GGA+U), the powder diffraction line list of Li8Co3NiO8 was simulated for Cu Kα.
Lines closer than 0.1° are merged.

Structure:
abc: 5.2868 5.3613 7.0503
angles: 90.94 90.54 93.66
Space group P1 (No. 1)
Inequivalent atoms, fractional coordinates:
1 Li 0.0000 0.0000 0.0000 (multiplicity 1)
2 Li 0.0179 0.5084 0.0703 (multiplicity 1)
3 Li 0.3478 0.1957 0.1946 (multiplicity 1)
4 Li 0.3672 0.7012 0.8946 (multiplicity 1)
5 Li 0.5169 0.4752 0.5358 (multiplicity 1)
6 Li 0.6049 0.9380 0.6043 (multiplicity 1)
7 Li 0.8560 0.3130 0.3823 (multiplicity 1)
8 Li 0.9258 0.6226 0.7016 (multiplicity 1)
9 Co 0.1350 0.1758 0.6607 (multiplicity 1)
10 Co 0.6157 0.3173 0.9054 (multiplicity 1)
11 Co 0.6330 0.8209 0.1900 (multiplicity 1)
12 Ni 0.1481 0.7287 0.3972 (multiplicity 1)
13 O 0.2157 0.3583 0.4167 (multiplicity 1)
14 O 0.2404 0.3172 0.9156 (multiplicity 1)
15 O 0.2508 0.8317 0.6598 (multiplicity 1)
16 O 0.2517 0.8204 0.1439 (multiplicity 1)
17 O 0.7349 0.1824 0.1441 (multiplicity 1)
18 O 0.7451 0.6843 0.9357 (multiplicity 1)
19 O 0.7613 0.2558 0.6537 (multiplicity 1)
20 O 0.7682 0.7049 0.4320 (multiplicity 1)

Principal peaks in the range 2θ from 10° to 90°, sorted by position:
two_theta  Rel. int.
20.67  61
20.97  100
21.14  44
30.61  20
33.50  43
33.99  46
35.10  17
39.25  25
42.27  20
51.88  20